Structure and simulated powder diffraction line list of K3Zr3PaSe8 (a structure optimized by DFT (PBE); a wavelength of 1.5418 Å).
Neutral-atom scattering factors, no anomalous dispersion.

Structure:
a b c (Å): 13.536 7.819 9.154
angles (deg): 90.00 119.50 90.00
Space group C2/m (No. 12)
Inequivalent atoms, fractional coordinates:
K (0.000, 0.000, 0.000) [2 per cell]
K (0.250, 0.250, 0.000) [4 per cell]
Zr (0.000, 0.500, 0.500) [2 per cell]
Zr (0.250, 0.250, 0.500) [4 per cell]
Pa (0.000, 0.000, 0.500) [2 per cell]
Se (0.018, 0.259, 0.294) [8 per cell]
Se (0.234, 0.500, 0.702) [4 per cell]
Se (0.242, 0.000, 0.706) [4 per cell]

Main lines, by intensity (10 to 90 degrees two-theta):
- (4 0 0), 30.35 deg, I = 100.0
- (0 0 1), 11.11 deg, I = 72.0
- (2 2 2), 40.26 deg, I = 36.6
- (0 4 0), 46.47 deg, I = 33.2
- (2 2 -3), 37.41 deg, I = 22.8
- (4 4 0), 56.52 deg, I = 16.3
- (4 0 -5), 49.87 deg, I = 14.5
- (10 2 -2), 76.09 deg, I = 13.2
- (6 2 -3), 47.93 deg, I = 12.0
- (6 2 2), 67.10 deg, I = 10.5